This entry pairs a crystal structure of Y10Al3Co with its theoretical X-ray diffraction stick pattern. Radiation: λ = 1.5418 Å (Cu Kα). Structure: DFT lattice parameters and positions (GGA-PBE).
Intensities are scaled so that the largest is 100.

Structural model:
Unit cell a=9.5255 b=9.5255 c=9.5891 alpha=90.00 beta=90.00 gamma=120.00
Space group P6_3/mmc (No. 194)
Asymmetric unit:
Y 0.0000 0.0000 0.0000
Y 0.0846 0.5423 0.2500
Y 0.2089 0.4178 0.5625
Al 0.1120 0.2241 0.2500
Co 0.3333 0.6667 0.7500

Principal peaks in the range 15° ≤ 2θ ≤ 90°, by angle:
h k l	Position (°2θ)	d (Å)	I/Imax
2 1 0	28.60	3.121	53.1
1 0 3	29.98	2.980	31.3
3 0 1	33.91	2.643	56.5
2 1 2	34.31	2.614	100.0
2 0 3	35.53	2.527	36.8
2 2 0	37.78	2.381	17.1
3 2 3	56.52	1.628	31.8
3 3 0	58.10	1.588	22.1
3 0 5	58.69	1.573	25.7
5 0 2	59.23	1.560	20.5